Computed X-ray powder pattern of KVCdF6 for Cu Kα (λ = 1.5418 Å), from DFT lattice parameters and positions (PBE+U).
Kinematic intensities with the Lorentz-polarization factor, no thermal factor.

Crystal structure
Unit cell a=7.3719 b=7.3719 c=7.3719 alpha=120.50 beta=118.81 gamma=90.60
Atoms (fractional coordinates):
K (0.4012, 0.1512, 0.2500)
K (0.5988, 0.8488, 0.7500)
V (0.0000, 0.5000, 0.5000)
V (0.5000, 0.5000, 0.0000)
Cd (0.0000, 0.0000, 0.5000)
Cd (0.0000, 0.5000, 0.0000)
F (0.1139, 0.8639, 0.2500)
F (0.1624, 0.4422, 0.3443)
F (0.1624, 0.8181, 0.7202)
F (0.1798, 0.4298, 0.7500)
F (0.4021, 0.1819, 0.8443)
F (0.4021, 0.5578, 0.2202)
F (0.5979, 0.4422, 0.7798)
F (0.5979, 0.8181, 0.1557)
F (0.8202, 0.5702, 0.2500)
F (0.8376, 0.1819, 0.2798)
F (0.8376, 0.5578, 0.6557)
F (0.8861, 0.1361, 0.7500)

Peak list (12 most intense, 2θ = 15–90°, low angle first)
2θ = 17.10°, rel. 227
2θ = 28.08°, rel. 438
2θ = 28.46°, rel. 1000
2θ = 28.56°, rel. 205
2θ = 29.38°, rel. 651
2θ = 29.89°, rel. 638
2θ = 36.97°, rel. 248
2θ = 37.76°, rel. 480
2θ = 44.75°, rel. 358
2θ = 45.37°, rel. 198
2θ = 48.53°, rel. 243
2θ = 49.47°, rel. 753